(1)
For CsOsBr4O, DFT lattice parameters and positions (PBE) gives the calculated powder diffractogram in this record (Cu Kα X-rays).
Lines closer than 0.1° are merged.

Top 10 peaks for 15 to 90 degrees two-theta, in order of rising 2θ:
2θ = 24.71°, rel. 36.4; 2θ = 26.10°, rel. 73.8; 2θ = 28.08°, rel. 100.0; 2θ = 29.94°, rel. 61.3; 2θ = 30.67°, rel. 20.0; 2θ = 31.30°, rel. 22.1; 2θ = 41.15°, rel. 25.8; 2θ = 44.15°, rel. 26.2; 2θ = 45.49°, rel. 32.1; 2θ = 59.13°, rel. 19.4

Structural model:
```
data_CsOsBr4O
_chemical_formula_sum 'Cs2 Os2 Br8 O2'
_cell_length_a 14.2229
_cell_length_b 3.7440
_cell_length_c 8.5957
_cell_angle_alpha 90.00
_cell_angle_beta 111.22
_cell_angle_gamma 90.00
_space_group_name_H-M_alt 'C 1 2 1'
_space_group_IT_number 5
_space_group_name_Hall 'C 2y'
loop_
_atom_site_label
_atom_site_type_symbol
_atom_site_fract_x
_atom_site_fract_y
_atom_site_fract_z
Cs1 Cs 0.0000 0.0000 0.0000
Os1 Os 0.0000 0.4996 0.5000
Br1 Br 0.1339 0.4970 0.3735
Br2 Br 0.1391 0.4961 0.7858
O1 O 0.0000 0.9994 0.5000
```

***

(2)
For OsOF2, DFT lattice parameters and positions (PBE) gives the calculated powder diffractogram in this record (Cu Kα X-rays).
Lines closer than 0.1° are merged.

Top 10 peaks for 15 to 90 degrees two-theta, in order of rising 2θ:
2θ = 28.39°, rel. 100.0; 2θ = 35.90°, rel. 53.2; 2θ = 36.12°, rel. 15.6; 2θ = 36.50°, rel. 17.5; 2θ = 37.71°, rel. 14.3; 2θ = 52.29°, rel. 13.8; 2θ = 53.21°, rel. 13.1; 2θ = 57.89°, rel. 14.8; 2θ = 60.31°, rel. 13.3; 2θ = 60.83°, rel. 13.9

Structural model:
```
data_OsOF2
_chemical_formula_sum 'Os4 O4 F8'
_cell_length_a 4.9735
_cell_length_b 7.1562
_cell_length_c 4.9230
_cell_angle_alpha 90.00
_cell_angle_beta 90.00
_cell_angle_gamma 90.00
_space_group_name_H-M_alt 'P c a 21'
_space_group_IT_number 29
_space_group_name_Hall 'P 2c -2ac'
loop_
_atom_site_label
_atom_site_type_symbol
_atom_site_fract_x
_atom_site_fract_y
_atom_site_fract_z
Os1 Os 0.0112 0.1621 0.0000
O1 O 0.1537 0.0704 0.3520
F1 F 0.1401 0.3969 0.1119
F2 F 0.1545 0.7376 0.1517
```